Diffraction record for Cs2Te2PdS. The powder X-ray diffraction pattern is simulated, not measured: it uses a cell relaxed with PBE and λ = 1.5418 Å (Cu Kα).
Neutral-atom scattering factors, no anomalous dispersion.

Cell and atoms:
Unit cell a=13.7325 b=7.4978 c=10.2540 alpha=90.00 beta=111.60 gamma=90.00
Space group C2/m (No. 12)
Asymmetric unit:
Cs (0.0738, 0.0000, 0.3262) [4 per cell]
Cs (0.1933, 0.5000, 0.8487) [4 per cell]
Te (0.1332, 0.5000, 0.4102) [4 per cell]
Te (0.2144, 0.0000, 0.7285) [4 per cell]
Pd (0.0720, 0.5000, 0.1316) [4 per cell]
S (0.0000, 0.2496, 0.0000) [4 per cell]

Principal peaks in the range 5° ≤ 2θ ≤ 70°, by angle:
| Position (°2θ) | I (rel.) | hkl |
| --- | --- | --- |
| 15.1 | 30.7 | 1 1 -1 |
| 23.7 | 100.0 | 0 2 0 |
| 25.2 | 29.7 | 1 1 2 |
| 26.0 | 62.0 | 4 0 -1 |
| 28.9 | 23.2 | 1 1 -3 |
| 30.3 | 21.3 | 0 2 2 |
| 30.7 | 37.2 | 3 1 -3 |
| 35.5 | 40.9 | 4 2 -1 |